This entry pairs a crystal structure of BaSr2Ca4 with its calculated powder diffractogram. Radiation: copper Kα. Structure: a PBE-relaxed structure.

Most intense lines, 15° ≤ 2θ ≤ 90°, in order of rising 2θ:
| d [Å] | 2θ (°) | I/Imax |
| --- | --- | --- |
| 3.532 | 25.21 | 33 |
| 3.492 | 25.50 | 16 |
| 3.381 | 26.36 | 20 |
| 3.339 | 26.70 | 44 |
| 3.217 | 27.73 | 100 |
| 3.023 | 29.55 | 69 |
| 2.426 | 37.05 | 24 |
| 2.039 | 44.42 | 32 |
| 1.949 | 46.60 | 28 |
| 1.740 | 52.59 | 38 |

Structural model:
```
data_BaSr2Ca4
_symmetry_space_group_name_H-M 'C 1 m 1'
_symmetry_Int_Tables_number 8
_cell_length_a 7.0615
_cell_length_b 4.0801
_cell_length_c 23.3728
_cell_angle_alpha 90.00
_cell_angle_beta 90.06
_cell_angle_gamma 90.00
loop_
_symmetry_equiv_pos_as_xyz
'x,y,z'
'x,-y,z'
'x+1/2,y+1/2,z'
'x+1/2,-y+1/2,z'
loop_
_atom_site_label
_atom_site_fract_x
_atom_site_fract_y
_atom_site_fract_z
_atom_site_occupancy
Ba1 0.0000 0.0000 0.0000 1
Sr1 0.0007 0.0000 0.5777 1
Sr2 0.0024 0.0000 0.2914 1
Ca1 0.1650 0.5000 0.7201 1
Ca2 0.1688 0.5000 0.4346 1
Ca3 0.3312 0.0000 0.8529 1
Ca4 0.3358 0.0000 0.1482 1
```


This entry pairs a crystal structure of RbAg7S4 with its calculated powder diffractogram. Radiation: copper Kα. Structure: a PBE-relaxed structure.

Most intense lines, 15° ≤ 2θ ≤ 90°, in order of rising 2θ:
| d [Å] | 2θ (°) | I/Imax |
| --- | --- | --- |
| 3.526 | 25.26 | 30 |
| 2.800 | 31.97 | 100 |
| 2.787 | 32.11 | 36 |
| 2.628 | 34.12 | 26 |
| 2.529 | 35.49 | 42 |
| 2.502 | 35.90 | 62 |
| 2.493 | 36.03 | 56 |
| 2.303 | 39.11 | 26 |
| 2.282 | 39.48 | 91 |
| 1.912 | 47.56 | 35 |

Structural model:
```
data_RbAg7S4
_symmetry_space_group_name_H-M 'P 4/n'
_symmetry_Int_Tables_number 85
_cell_length_a 11.1487
_cell_length_b 11.1487
_cell_length_c 8.5139
_cell_angle_alpha 90.00
_cell_angle_beta 90.00
_cell_angle_gamma 90.00
loop_
_symmetry_equiv_pos_as_xyz
'x,y,z'
'-x,-y,-z'
'-y+1/2,x,z'
'y+1/2,-x,-z'
'-x+1/2,-y+1/2,z'
'x+1/2,y+1/2,-z'
'y,-x+1/2,z'
'-y,x+1/2,-z'
loop_
_atom_site_label
_atom_site_fract_x
_atom_site_fract_y
_atom_site_fract_z
_atom_site_occupancy
Rb1 0.2500 0.2500 0.1201 1
Rb2 0.2500 0.2500 0.6208 1
Ag1 0.0000 0.0000 0.5000 1
Ag2 0.0215 0.9626 0.1617 1
Ag3 0.1077 0.7912 0.8853 1
Ag4 0.1128 0.7695 0.3787 1
S1 0.0007 0.6978 0.1266 1
S2 0.0055 0.6928 0.6345 1
```


This entry pairs a crystal structure of Ti3TlH with its calculated powder diffractogram. Radiation: copper Kα. Structure: a PBE-relaxed structure.

Most intense lines, 15° ≤ 2θ ≤ 90°, in order of rising 2θ:
| d [Å] | 2θ (°) | I/Imax |
| --- | --- | --- |
| 5.198 | 17.06 | 44 |
| 4.282 | 20.75 | 39 |
| 3.550 | 25.08 | 31 |
| 3.100 | 28.80 | 31 |
| 3.058 | 29.20 | 60 |
| 2.354 | 38.23 | 100 |
| 2.348 | 38.34 | 96 |
| 2.282 | 39.50 | 47 |
| 2.244 | 40.18 | 41 |
| 1.330 | 70.84 | 31 |

Structural model:
```
data_Ti3TlH
_symmetry_space_group_name_H-M 'C 1 2/m 1'
_symmetry_Int_Tables_number 12
_cell_length_a 13.4665
_cell_length_b 4.5631
_cell_length_c 5.6539
_cell_angle_alpha 90.00
_cell_angle_beta 113.16
_cell_angle_gamma 90.00
loop_
_symmetry_equiv_pos_as_xyz
'x,y,z'
'-x,-y,-z'
'-x,y,-z'
'x,-y,z'
'x+1/2,y+1/2,z'
'-x+1/2,-y+1/2,-z'
'-x+1/2,y+1/2,-z'
'x+1/2,-y+1/2,z'
loop_
_atom_site_label
_atom_site_fract_x
_atom_site_fract_y
_atom_site_fract_z
_atom_site_occupancy
Ti1 0.0589 0.0000 0.3474 1
Ti2 0.1015 0.5000 0.6774 1
Ti3 0.2141 0.5000 0.3469 1
Tl1 0.1623 0.0000 0.0048 1
H1 0.0537 0.5000 0.3144 1
```


This entry pairs a crystal structure of BeAl2Ir with its calculated powder diffractogram. Radiation: copper Kα. Structure: a PBE-relaxed structure.

Most intense lines, 15° ≤ 2θ ≤ 90°, in order of rising 2θ:
| d [Å] | 2θ (°) | I/Imax |
| --- | --- | --- |
| 3.828 | 23.24 | 42 |
| 3.607 | 24.68 | 21 |
| 3.263 | 27.33 | 100 |
| 2.083 | 43.45 | 87 |
| 1.829 | 49.85 | 34 |
| 1.755 | 52.10 | 18 |
| 1.473 | 63.13 | 16 |
| 1.409 | 66.33 | 24 |
| 1.342 | 70.12 | 15 |
| 1.202 | 79.76 | 25 |

Structural model:
```
data_BeAl2Ir
_symmetry_space_group_name_H-M 'P -6 m 2'
_symmetry_Int_Tables_number 187
_symmetry_space_group_name_Hall 'P -6 2'
_cell_length_a 4.1647
_cell_length_b 4.1647
_cell_length_c 7.6552
_cell_angle_alpha 90.00
_cell_angle_beta 90.00
_cell_angle_gamma 120.00
loop_
_atom_site_label
_atom_site_fract_x
_atom_site_fract_y
_atom_site_fract_z
_atom_site_occupancy
Be1 0.0000 0.0000 0.1605 1
Al1 0.3333 0.6667 0.0000 1
Al2 0.3333 0.6667 0.5000 1
Al3 0.6667 0.3333 0.3206 1
Ir1 0.0000 0.0000 0.5000 1
Ir2 0.6667 0.3333 0.0000 1
```


Question: Which formula does entry 1 have?
Answer: BaSr2Ca4